Starting from the GGA+U geometry in Alexandria, the powder diffractogram of Li2V3CrO8 was simulated for Cu Kα (λ = 1.5418 Å).
Lines closer than 0.1° are merged.

abc: 5.9615 5.9615 10.1286
angles: 105.01 105.01 61.14
Fractional coordinates of all 28 atoms:
1 Li 0.0617 0.5675 0.6901
2 Li 0.4325 0.9383 0.8099
3 Li 0.5675 0.0617 0.1901
4 Li 0.9383 0.4325 0.3099
5 V 0.0000 0.0000 0.0000
6 V 0.0000 0.0000 0.5000
7 V 0.2445 0.7555 0.2500
8 V 0.5000 0.5000 0.0000
9 V 0.5000 0.5000 0.5000
10 V 0.7555 0.2445 0.7500
11 Cr 0.0000 0.5000 0.0000
12 Cr 0.5000 0.0000 0.5000
13 O 0.0878 0.1520 0.8750
14 O 0.1411 0.6366 0.8944
15 O 0.1520 0.0878 0.3750
16 O 0.1546 0.6317 0.3758
17 O 0.3596 0.4055 0.1154
18 O 0.3634 0.8589 0.6056
19 O 0.3683 0.8454 0.1242
20 O 0.4055 0.3596 0.6154
21 O 0.5945 0.6404 0.3846
22 O 0.6317 0.1546 0.8758
23 O 0.6366 0.1411 0.3944
24 O 0.6404 0.5945 0.8846
25 O 0.8454 0.3683 0.6242
26 O 0.8480 0.9122 0.6250
27 O 0.8589 0.3634 0.1056
28 O 0.9122 0.8480 0.1250

Peak list (10 most intense, 2θ = 10–90°, by intensity)
2θ/deg  I_rel
18.16  100
42.28  53
18.37  31
44.05  23
34.83  20
62.35  15
63.05  14
35.12  11
35.96  10
34.94  9